Diffraction record for Ac2MgInSe5. The powder diffractogram is calculated, not measured: it uses the GGA-PBE geometry in Alexandria and Cu Kα (λ = 1.5418 Å).

Structural model:
abc: 9.1881 9.1881 12.8631
angles: 90.00 90.00 152.62
Positions (direct):
Ac: 0.1148 0.8852 0.5000
Ac: 0.1391 0.8609 0.1183
Ac: 0.8609 0.1391 0.6183
Ac: 0.8852 0.1148 0.0000
Mg: 0.2072 0.7928 0.8282
Mg: 0.7928 0.2072 0.3282
In: 0.4591 0.5409 0.2739
In: 0.5409 0.4591 0.7739
Se: 0.0543 0.9457 0.8920
Se: 0.2859 0.7141 0.4702
Se: 0.3133 0.6867 0.1752
Se: 0.3584 0.6416 0.8124
Se: 0.4917 0.5083 0.5763
Se: 0.5083 0.4917 0.0763
Se: 0.6416 0.3584 0.3124
Se: 0.6867 0.3133 0.6752
Se: 0.7141 0.2859 0.9702
Se: 0.9457 0.0543 0.3920

Largest 10 diffraction maxima, most intense first, 10° ≤ 2θ ≤ 90°:
2θ/deg  I_rel
29.69  100.0
25.22  53.9
28.95  50.3
38.81  45.9
30.84  45.9
41.53  40.8
32.44  40.1
36.34  33.4
23.01  33.0
35.39  28.4

=====

Diffraction record for BeAg4. The powder diffractogram is calculated, not measured: it uses the GGA-PBE geometry in Alexandria and Cu Kα (λ = 1.5418 Å).

Structural model:
abc: 2.8611 2.8611 11.8628
angles: 90.00 90.00 120.00
Positions (direct):
Be: 0.0000 0.0000 0.0000
Ag: 0.3333 0.6667 0.6048
Ag: 0.3333 0.6667 0.8417
Ag: 0.6667 0.3333 0.1583
Ag: 0.6667 0.3333 0.3952

Largest 10 diffraction maxima, most intense first, 10° ≤ 2θ ≤ 90°:
2θ/deg  I_rel
37.07  100.0
47.84  51.8
30.13  42.1
43.08  39.3
36.25  31.5
53.47  26.6
65.22  22.6
74.58  19.1
73.50  17.7
37.92  15.8